(1)
# NdSb2Pd
Simulated XRD peak list, λ = 1.5418 Å (Cu Kα). Input: DFT lattice parameters and positions (GGA-PBE).

Peak list (6 most intense, 2θ = 10–80°, sorted by position)
- 26.75 deg, rel. 10
- 33.51 deg, rel. 100
- 40.20 deg, rel. 36
- 50.13 deg, rel. 11
- 58.16 deg, rel. 12
- 68.81 deg, rel. 22

Crystal structure
```
NdSb2Pd
1.0
4.486 0.000 0.000
0.000 4.486 0.000
0.000 0.000 9.954
Nd Sb Pd
2 4 2
Cartesian
1.122 1.122 2.457
3.365 3.365 7.497
1.122 1.122 8.413
1.122 3.365 4.977
3.365 1.122 4.977
3.365 3.365 1.541
1.122 3.365 0.000
3.365 1.122 0.000
```



(2)
# NdSb2Pd
Simulated XRD peak list, λ = 1.5418 Å (Cu Kα). Input: DFT lattice parameters and positions (GGA-PBE).

Peak list (6 most intense, 2θ = 10–80°, sorted by position)
- 30.93 deg, rel. 100
- 32.79 deg, rel. 37
- 36.38 deg, rel. 69
- 44.31 deg, rel. 37
- 45.70 deg, rel. 29
- 58.63 deg, rel. 34

Crystal structure
```
NdSb2Pd
1.0
5.782 0.000 0.000
0.000 5.782 0.000
0.000 0.000 6.196
Nd Sb Pd
2 4 2
Cartesian
1.445 1.445 1.052
4.336 4.336 5.144
1.445 1.445 4.101
1.445 4.336 0.000
4.336 1.445 0.000
4.336 4.336 2.095
1.445 4.336 3.098
4.336 1.445 3.098
```



(3)
# NdSi2Pd2
Simulated XRD peak list, λ = 1.5418 Å (Cu Kα). Input: DFT lattice parameters and positions (GGA-PBE).

Peak list (6 most intense, 2θ = 10–80°, sorted by position)
- 22.78 deg, rel. 22
- 34.23 deg, rel. 26
- 34.90 deg, rel. 100
- 42.65 deg, rel. 37
- 56.97 deg, rel. 17
- 73.07 deg, rel. 23

Crystal structure
```
NdSi2Pd2
1.0
-2.120 2.120 4.997
2.120 -2.120 4.997
2.120 2.120 -4.997
Nd Si Pd
1 2 2
Cartesian
0.000 0.000 0.000
0.000 0.000 3.808
0.000 0.000 6.187
2.120 0.000 2.499
0.000 2.120 2.499
```



(4)
# Nd3Si6Pd20
Simulated XRD peak list, λ = 1.5418 Å (Cu Kα). Input: DFT lattice parameters and positions (GGA-PBE).

Peak list (6 most intense, 2θ = 10–80°, sorted by position)
- 32.26 deg, rel. 24
- 35.44 deg, rel. 32
- 37.67 deg, rel. 100
- 41.15 deg, rel. 30
- 43.13 deg, rel. 24
- 63.63 deg, rel. 29

Crystal structure
```
Nd3Si6Pd20
1.0
0.000 6.204 6.204
6.204 0.000 6.204
6.204 6.204 0.000
Nd Si Pd
3 6 20
Cartesian
0.000 0.000 0.000
3.102 3.102 3.102
9.306 9.306 9.306
6.204 6.204 3.314
6.204 3.314 6.204
9.094 6.204 6.204
3.314 6.204 6.204
6.204 9.094 6.204
6.204 6.204 9.094
2.151 2.151 0.000
4.053 4.053 0.000
2.151 0.000 2.151
6.204 4.053 2.151
4.053 0.000 4.053
6.204 2.151 4.053
7.626 4.782 4.782
0.000 2.151 2.151
4.053 6.204 2.151
4.053 2.151 6.204
4.782 4.782 4.782
7.626 7.626 4.782
7.626 4.782 7.626
4.782 7.626 4.782
4.782 4.782 7.626
7.626 7.626 7.626
0.000 4.053 4.053
2.151 6.204 4.053
2.151 4.053 6.204
4.782 7.626 7.626
```



(5)
# NdSiPd
Simulated XRD peak list, λ = 1.5418 Å (Cu Kα). Input: DFT lattice parameters and positions (GGA-PBE).

Peak list (6 most intense, 2θ = 10–80°, sorted by position)
- 33.41 deg, rel. 33
- 33.92 deg, rel. 100
- 34.15 deg, rel. 42
- 40.52 deg, rel. 32
- 41.10 deg, rel. 43
- 54.00 deg, rel. 22

Crystal structure
```
NdSiPd
1.0
21.858 0.000 0.000
0.000 4.453 0.000
0.000 0.000 7.574
Nd Si Pd
12 12 12
Cartesian
0.041 1.113 1.595
3.636 1.113 2.234
3.654 3.340 5.337
7.275 1.113 1.550
7.293 3.340 6.022
10.888 3.340 5.382
10.970 1.113 2.192
14.565 1.113 1.553
14.583 3.340 6.024
18.204 1.113 2.237
18.222 3.340 5.340
21.817 3.340 5.979
1.538 1.113 4.467
2.326 3.340 0.645
4.970 3.340 0.638
5.959 1.113 4.425
8.604 1.113 4.432
9.391 3.340 0.680
12.468 1.113 6.895
13.255 3.340 3.142
15.899 3.340 3.149
16.889 1.113 6.936
19.533 1.113 6.929
20.320 3.340 3.108
1.395 3.340 3.157
2.064 1.113 6.962
5.175 1.113 6.947
5.754 3.340 3.160
8.866 3.340 3.174
9.534 1.113 6.944
12.324 3.340 0.630
12.993 1.113 4.400
16.105 1.113 4.414
16.683 3.340 0.627
19.795 3.340 0.613
20.463 1.113 4.417
```



(6)
# Nd2Si3Pd
Simulated XRD peak list, λ = 1.5418 Å (Cu Kα). Input: DFT lattice parameters and positions (GGA-PBE).

Peak list (6 most intense, 2θ = 10–80°, sorted by position)
- 24.93 deg, rel. 24
- 32.72 deg, rel. 100
- 43.91 deg, rel. 34
- 55.83 deg, rel. 21
- 62.71 deg, rel. 23
- 73.61 deg, rel. 19

Crystal structure
```
Nd2Si3Pd
1.0
8.247 0.000 0.000
-4.124 7.142 0.000
0.000 0.000 8.521
Nd Si Pd
8 12 4
Cartesian
0.000 0.000 2.130
0.000 0.000 6.391
-2.021 3.595 2.130
2.021 3.595 2.130
0.000 7.095 2.130
4.124 0.047 6.391
2.102 3.548 6.391
6.145 3.548 6.391
0.000 2.369 4.265
0.000 2.369 8.517
-2.072 5.958 4.265
-2.072 5.958 8.517
2.052 1.185 0.005
2.052 1.185 4.256
2.072 5.958 4.265
2.072 5.958 8.517
6.195 1.185 0.005
6.195 1.185 4.256
4.124 4.773 0.005
4.124 4.773 4.256
0.000 4.762 4.361
0.000 4.762 8.421
4.124 2.381 0.100
4.124 2.381 4.160
```



(7)
# NdSnPd
Simulated XRD peak list, λ = 1.5418 Å (Cu Kα). Input: DFT lattice parameters and positions (GGA-PBE).

Peak list (6 most intense, 2θ = 10–80°, sorted by position)
- 31.80 deg, rel. 100
- 34.60 deg, rel. 95
- 35.68 deg, rel. 52
- 40.65 deg, rel. 33
- 43.83 deg, rel. 28
- 65.11 deg, rel. 32

Crystal structure
```
NdSnPd
1.0
7.689 0.000 0.000
-3.844 6.658 0.000
0.000 0.000 4.131
Nd Sn Pd
3 3 3
Cartesian
-1.578 2.734 0.000
3.157 0.000 0.000
2.266 3.924 0.000
-2.874 4.978 2.065
0.970 1.680 2.065
5.748 0.000 2.065
0.000 0.000 0.000
0.000 4.439 2.065
3.844 2.219 2.065
```



(8)
# NdSnPd
Simulated XRD peak list, λ = 1.5418 Å (Cu Kα). Input: DFT lattice parameters and positions (GGA-PBE).

Peak list (6 most intense, 2θ = 10–80°, sorted by position)
- 31.52 deg, rel. 48
- 32.39 deg, rel. 100
- 32.55 deg, rel. 38
- 37.54 deg, rel. 29
- 38.15 deg, rel. 44
- 38.56 deg, rel. 61

Crystal structure
```
NdSnPd
1.0
7.529 0.000 0.000
0.000 4.718 0.000
0.000 0.000 8.062
Nd Sn Pd
4 4 4
Cartesian
0.091 1.179 1.626
3.673 3.538 5.657
3.856 1.179 2.405
7.437 3.538 6.436
1.418 1.179 4.737
2.346 3.538 0.706
5.183 1.179 7.356
6.110 3.538 3.325
1.510 3.538 3.344
2.254 1.179 7.375
5.274 3.538 0.687
6.019 1.179 4.718
```



(9)
# Nd3Sn5Pd5
Simulated XRD peak list, λ = 1.5418 Å (Cu Kα). Input: DFT lattice parameters and positions (GGA-PBE).

Peak list (6 most intense, 2θ = 10–80°, sorted by position)
- 32.39 deg, rel. 35
- 32.72 deg, rel. 100
- 35.28 deg, rel. 93
- 36.60 deg, rel. 45
- 37.40 deg, rel. 37
- 39.15 deg, rel. 99

Crystal structure
```
Nd3Sn5Pd5
1.0
8.767 -2.301 0.000
8.767 2.301 0.000
-2.427 0.000 14.310
Nd Sn Pd
6 10 10
Cartesian
1.261 0.000 3.076
0.959 0.000 8.384
0.288 0.000 12.463
14.820 0.000 1.848
14.149 0.000 5.926
13.847 0.000 11.234
0.000 0.000 0.000
4.567 0.000 3.721
4.659 0.000 8.502
3.846 0.000 13.574
7.551 0.000 4.009
7.554 0.000 7.155
7.557 0.000 10.301
11.262 0.000 0.736
10.449 0.000 5.808
10.541 0.000 10.589
-0.316 0.000 5.528
3.083 0.000 6.100
4.029 0.000 0.974
3.128 0.000 10.863
8.386 0.000 1.403
6.722 0.000 12.907
11.980 0.000 3.448
11.079 0.000 13.337
12.025 0.000 8.210
15.424 0.000 8.783
```



(10)
# NdTlPd
Simulated XRD peak list, λ = 1.5418 Å (Cu Kα). Input: DFT lattice parameters and positions (GGA-PBE).

Peak list (6 most intense, 2θ = 10–80°, sorted by position)
- 31.91 deg, rel. 100
- 34.33 deg, rel. 55
- 34.51 deg, rel. 68
- 39.10 deg, rel. 37
- 41.47 deg, rel. 28
- 63.21 deg, rel. 34

Crystal structure
```
NdTlPd
1.0
7.980 0.000 0.000
-3.990 6.911 0.000
0.000 0.000 3.943
Nd Tl Pd
3 3 3
Cartesian
-2.372 4.108 0.000
1.618 2.802 0.000
4.744 0.000 0.000
-1.046 1.811 1.971
2.091 0.000 1.971
2.944 5.099 1.971
0.000 0.000 0.000
0.000 4.607 1.971
3.990 2.304 1.971
```



(11)
# Nd6Zn4Pd13
Simulated XRD peak list, λ = 1.5418 Å (Cu Kα). Input: DFT lattice parameters and positions (GGA-PBE).

Peak list (6 most intense, 2θ = 10–80°, sorted by position)
- 29.09 deg, rel. 29
- 34.57 deg, rel. 10
- 37.04 deg, rel. 14
- 39.38 deg, rel. 100
- 56.91 deg, rel. 11
- 71.40 deg, rel. 29

Crystal structure
```
Nd6Zn4Pd13
1.0
-4.854 4.854 4.854
4.854 -4.854 4.854
4.854 4.854 -4.854
Nd Zn Pd
6 4 13
Cartesian
2.939 0.000 0.000
6.769 0.000 0.000
0.000 2.939 0.000
0.000 0.000 2.939
0.000 6.769 0.000
0.000 0.000 6.769
2.427 2.427 -2.427
2.427 -2.427 2.427
-2.427 2.427 2.427
2.427 2.427 2.427
0.000 0.000 0.000
4.854 1.640 -1.640
4.854 -1.640 1.640
1.640 4.854 -1.640
3.214 3.214 0.000
3.214 0.000 3.214
1.640 -1.640 4.854
4.854 1.640 1.640
0.000 3.214 3.214
-1.640 4.854 1.640
-1.640 1.640 4.854
1.640 4.854 1.640
1.640 1.640 4.854
```



(12)
# NdZnPd
Simulated XRD peak list, λ = 1.5418 Å (Cu Kα). Input: DFT lattice parameters and positions (GGA-PBE).

Peak list (6 most intense, 2θ = 10–80°, sorted by position)
- 32.85 deg, rel. 96
- 35.74 deg, rel. 100
- 36.78 deg, rel. 41
- 41.92 deg, rel. 33
- 45.45 deg, rel. 26
- 67.35 deg, rel. 28

Crystal structure
```
NdZnPd
1.0
7.465 0.000 0.000
-3.732 6.465 0.000
0.000 0.000 3.992
Nd Zn Pd
3 3 3
Cartesian
-2.207 3.822 0.000
1.526 2.643 0.000
4.414 0.000 0.000
-0.904 1.566 1.996
1.809 0.000 1.996
2.828 4.898 1.996
0.000 0.000 0.000
0.000 4.310 1.996
3.732 2.155 1.996
```